Record 1
The following is a calculated powder diffraction line list of LaPaAg2O8. It was derived from DFT lattice parameters and positions (PBE), using Cu Kα (weighted mean of Kα1 and Kα2).
Peak positions follow from Bragg's law for the DFT cell and can differ from measured ones.

Principal peaks in the range 2θ from 10° to 90°, in order of rising 2θ:
- 2θ 17.4, I = 191
- 2θ 23.8, I = 1000
- 2θ 30.7, I = 792
- 2θ 33.9, I = 269
- 2θ 46.4, I = 679
- 2θ 54.8, I = 160
- 2θ 58.5, I = 161
- 2θ 58.7, I = 205

Cell and atoms:
a = 6.3353 Å, b = 6.3353 Å, c = 6.3353 Å
α = 107.56°, β = 107.56°, γ = 113.36°
Fractional positions:
La 0.0000 0.0000 0.0000
Pa 0.7500 0.2500 0.5000
Ag 0.2500 0.7500 0.5000
Ag 0.5000 0.5000 0.0000
O 0.0163 0.3459 0.3296
O 0.0163 0.6867 0.6704
O 0.0883 0.2827 0.8057
O 0.3133 0.9837 0.3296
O 0.4770 0.2827 0.1943
O 0.6541 0.9837 0.6704
O 0.7173 0.5230 0.8057
O 0.7173 0.9117 0.1943

***

Record 2
The following is a calculated powder diffraction line list of La2AgPdO6. It was derived from DFT lattice parameters and positions (PBE), using Cu Kα (weighted mean of Kα1 and Kα2).
Peak positions follow from Bragg's law for the DFT cell and can differ from measured ones.

Principal peaks in the range 2θ from 10° to 90°, in order of rising 2θ:
- 2θ 29.7, I = 1000
- 2θ 30.3, I = 508
- 2θ 30.6, I = 501
- 2θ 31.7, I = 360
- 2θ 32.2, I = 404
- 2θ 40.1, I = 252
- 2θ 45.7, I = 216
- 2θ 46.0, I = 217

Cell and atoms:
a = 5.5563 Å, b = 5.6436 Å, c = 5.8991 Å
α = 116.70°, β = 117.62°, γ = 90.25°
Fractional positions:
La 0.2493 0.2300 0.4952
La 0.7507 0.7700 0.5048
Ag 0.0000 0.5000 0.0000
Pd 0.5000 0.0000 0.0000
O 0.1759 0.1648 0.8462
O 0.2875 0.6736 0.5685
O 0.3330 0.8311 0.1550
O 0.6670 0.1689 0.8450
O 0.7125 0.3264 0.4315
O 0.8241 0.8352 0.1538